The following is a calculated powder diffraction line list of K2U3MnO11. It was derived from DFT lattice parameters and positions (PBE+U), using copper Kα.
Peak positions follow from Bragg's law for the DFT cell and can differ from measured ones.

Unit cell a=13.175 b=13.175 c=13.175 alpha=30.25 beta=30.25 gamma=30.25
Fractional positions:
1 K 0.172 0.172 0.172
2 K 0.328 0.328 0.328
3 K 0.672 0.672 0.672
4 K 0.828 0.828 0.828
5 U 0.113 0.750 0.387
6 U 0.250 0.613 0.887
7 U 0.387 0.113 0.750
8 U 0.613 0.887 0.250
9 U 0.750 0.387 0.113
10 U 0.887 0.250 0.613
11 Mn 0.000 0.000 0.000
12 Mn 0.500 0.500 0.500
13 O 0.001 0.499 0.750
14 O 0.053 0.752 0.293
15 O 0.094 0.094 0.094
16 O 0.207 0.748 0.447
17 O 0.248 0.707 0.947
18 O 0.250 0.999 0.501
19 O 0.252 0.553 0.793
20 O 0.293 0.053 0.752
21 O 0.406 0.406 0.406
22 O 0.447 0.207 0.748
23 O 0.499 0.750 0.001
24 O 0.501 0.250 0.999
25 O 0.553 0.793 0.252
26 O 0.594 0.594 0.594
27 O 0.707 0.947 0.248
28 O 0.748 0.447 0.207
29 O 0.750 0.001 0.499
30 O 0.752 0.293 0.053
31 O 0.793 0.252 0.553
32 O 0.906 0.906 0.906
33 O 0.947 0.248 0.707
34 O 0.999 0.501 0.250

Largest 8 diffraction maxima, low angle first, 2θ = 10–80°:
14.10 deg, d 6.282, I 76; 26.89 deg, d 3.316, I 100; 28.42 deg, d 3.141, I 29; 29.62 deg, d 3.016, I 46; 33.73 deg, d 2.657, I 36; 44.67 deg, d 2.029, I 23; 45.71 deg, d 1.985, I 26; 54.71 deg, d 1.678, I 23